Diffraction record for Mn2Cr6Ga. The XRD peak list is calculated, not measured: it uses a cell relaxed with GGA-PBE and Cu Kα X-rays.
Lines closer than 0.1° are merged.

Top 10 peaks for 2θ = 5–70°, low angle first:
39.6°, rel. 100, hkl 0 2 1; 40.3°, rel. 45, hkl 2 0 -2; 40.5°, rel. 54, hkl 1 1 -2; 41.3°, rel. 52, hkl 2 2 0; 41.6°, rel. 93, hkl 2 0 2; 41.8°, rel. 53, hkl 4 0 0; 45.0°, rel. 28, hkl 4 0 -1; 45.4°, rel. 97, hkl 2 2 1; 54.7°, rel. 43, hkl 2 2 -2; 58.4°, rel. 31, hkl 1 3 -1

Cell and atoms:
a b c (Å): 8.646 5.072 5.125
angles (deg): 90.00 91.97 90.00
Space group C2/m (No. 12)
One atom of each set of equivalent atoms:
Mn 0.073 0.000 0.335
Cr 0.000 0.284 0.000
Cr 0.224 0.208 0.743
Ga 0.000 0.500 0.500

***

Diffraction record for Pm2PuWN4. The XRD peak list is calculated, not measured: it uses a cell relaxed with GGA-PBE and Cu Kα X-rays.
Lines closer than 0.1° are merged.

Top 10 peaks for 2θ = 5–70°, low angle first:
26.1°, rel. 23, hkl 0 2 3; 28.7°, rel. 54, hkl 0 0 4; 29.6°, rel. 28, hkl 0 4 0; 30.5°, rel. 34, hkl 0 4 1; 30.9°, rel. 100, hkl 1 1 2; 35.3°, rel. 42, hkl 1 3 1; 37.5°, rel. 51, hkl 1 3 2; 50.8°, rel. 25, hkl 1 3 5; 51.4°, rel. 23, hkl 1 5 3; 53.9°, rel. 23, hkl 2 0 0

Cell and atoms:
a b c (Å): 3.404 12.073 12.425
angles (deg): 90.00 90.00 90.00
Space group Cmcm (No. 63)
One atom of each set of equivalent atoms:
Pm 0.000 0.130 0.038
Pu 0.000 0.415 0.250
W 0.000 0.326 0.750
N 0.000 0.065 0.250
N 0.000 0.230 0.629
N 0.000 0.500 0.000

***

Diffraction record for UP2Pt2Rh. The XRD peak list is calculated, not measured: it uses a cell relaxed with GGA-PBE and Cu Kα X-rays.
Lines closer than 0.1° are merged.

Top 10 peaks for 2θ = 5–70°, low angle first:
29.7°, rel. 19, hkl 0 2 1; 33.0°, rel. 29, hkl 1 0 2; 35.7°, rel. 80, hkl 1 1 2; 36.4°, rel. 100, hkl 1 2 1; 41.0°, rel. 27, hkl 0 1 3; 42.0°, rel. 37, hkl 2 0 0; 42.6°, rel. 19, hkl 0 3 1; 60.1°, rel. 17, hkl 2 1 3; 61.4°, rel. 13, hkl 2 3 1; 61.5°, rel. 13, hkl 1 3 3

Cell and atoms:
a b c (Å): 4.305 6.674 6.998
angles (deg): 90.00 90.00 90.00
Space group Pmc2_1 (No. 26)
One atom of each set of equivalent atoms:
U 0.000 0.084 0.000
P 0.000 0.313 0.338
P 0.500 0.134 0.693
Pt 0.000 0.403 0.655
Pt 0.500 0.381 0.941
Rh 0.500 0.199 0.315

***

Diffraction record for Tl2CrGeCl6. The XRD peak list is calculated, not measured: it uses a cell relaxed with GGA-PBE and Cu Kα X-rays.
Lines closer than 0.1° are merged.

Top 10 peaks for 2θ = 5–70°, low angle first:
19.4°, rel. 27, hkl 1 1 -1; 21.7°, rel. 100, hkl 1 1 1; 25.5°, rel. 37, hkl 0 2 0; 26.4°, rel. 75, hkl 3 1 -1; 29.1°, rel. 32, hkl 4 0 -1; 29.3°, rel. 55, hkl 0 0 2; 34.2°, rel. 40, hkl 2 2 1; 34.9°, rel. 22, hkl 4 0 1; 39.5°, rel. 54, hkl 2 2 -2; 45.5°, rel. 35, hkl 3 3 -1

Cell and atoms:
a b c (Å): 12.830 6.984 6.260
angles (deg): 90.00 102.57 90.00
Space group C2/m (No. 12)
One atom of each set of equivalent atoms:
Tl 0.213 0.000 0.221
Cr 0.000 0.500 0.000
Ge 0.000 0.000 0.500
Cl 0.075 0.258 0.800
Cl 0.165 0.500 0.256